# 1
For La3Ge2Ru, a DFT-relaxed cell (PBE, Alexandria) gives the simulated XRD peak list in this record (CuKα).
No peak broadening, texture or thermal motion is included.

Cell and atoms:
abc: 12.391 4.440 11.619
angles: 90.00 90.00 90.00
Space group Pnma (No. 62)
One atom of each set of equivalent atoms:
1 La 0.060 0.250 0.122 [4 per cell]
2 La 0.118 0.750 0.551 [4 per cell]
3 La 0.223 0.250 0.793 [4 per cell]
4 Ge 0.017 0.750 0.309 [4 per cell]
5 Ge 0.202 0.750 0.988 [4 per cell]
6 Ru 0.124 0.250 0.353 [4 per cell]

Principal peaks in the range 2θ = 10–80°, most intense first:
hkl, 2θ (°), I_rel
0 1 3, 30.61, 100
0 2 0, 40.64, 47
4 1 1, 36.19, 47
3 1 2, 33.40, 47
2 1 2, 29.13, 44
2 1 4, 39.84, 27
1 0 4, 31.64, 24
5 1 3, 48.17, 23
2 1 1, 25.85, 22
2 0 5, 41.50, 22
4 0 1, 29.85, 21
3 0 2, 26.48, 19

***

# 2
For La6Ge3S14, a DFT-relaxed cell (PBE, Alexandria) gives the simulated XRD peak list in this record (CuKα).
No peak broadening, texture or thermal motion is included.

Cell and atoms:
abc: 10.4520 10.4520 5.8477
angles: 90.00 90.00 120.00
Space group P3 (No. 143)
One atom of each set of equivalent atoms:
1 La 0.0248 0.4572 0.0000 [3 per cell]
2 La 0.3099 0.2104 0.4920 [3 per cell]
3 Ge 0.0000 0.0000 0.0756 [1 per cell]
4 Ge 0.3333 0.6667 0.5847 [1 per cell]
5 Ge 0.6667 0.3333 0.7357 [1 per cell]
6 S 0.0000 0.0000 0.7000 [1 per cell]
7 S 0.0767 0.2241 0.2302 [3 per cell]
8 S 0.1859 0.7438 0.7364 [3 per cell]
9 S 0.3333 0.6667 0.2083 [1 per cell]
10 S 0.4146 0.2454 0.9754 [3 per cell]
11 S 0.4985 0.0790 0.4884 [3 per cell]

Principal peaks in the range 2θ = 10–80°, most intense first:
hkl, 2θ (°), I_rel
2 0 1, 24.88, 100
3 1 0, 35.77, 43
2 -1 1, 22.82, 38
1 3 1, 39.05, 37
0 2 2, 36.59, 37
2 2 0, 34.32, 37
2 1 2, 40.59, 29
2 0 0, 19.61, 27
4 -1 2, 47.75, 26
2 1 0, 26.05, 24
4 1 1, 48.66, 21
1 1 2, 35.17, 21